The following is a theoretical X-ray diffraction stick pattern of Pu2TlAgS4. It was derived from the GGA-PBE geometry in Alexandria, using Cu Ka.
Peak positions follow from Bragg's law for the DFT cell and can differ from measured ones.

Main lines, by angle (10 to 90 degrees two-theta):
2theta  I/Imax
22.8  100
25.9  80
26.4  51
30.2  53
32.1  96
39.0  36
43.5  35
44.5  64

Structure:
```
Pu2TlAgS4
1.0
2.048 -6.751 0.000
2.048 6.751 0.000
0.000 0.000 14.291
Pu Tl Ag S
4 2 2 8
direct
0.131 0.869 0.563
0.131 0.869 0.937
0.869 0.131 0.063
0.869 0.131 0.437
0.389 0.611 0.750
0.611 0.389 0.250
0.330 0.670 0.250
0.670 0.330 0.750
0.060 0.940 0.750
0.238 0.762 0.099
0.238 0.762 0.401
0.500 0.500 0.000
0.500 0.500 0.500
0.762 0.238 0.599
0.762 0.238 0.901
0.940 0.060 0.250
```